Starting from a crystal structure in Alexandria, relaxed with GGA-PBE, the powder diffraction line list of KPm2Au2O6 was simulated for Cu Kα.
Lines closer than 0.1° are merged.

The 8 most intense peaks (2θ = 10–90°), by intensity:
d_spacing	Rel. int.	hkl
2.771	100	1 -1 2
4.890	94	1 -1 0
4.852	72	1 0 -1
2.710	55	-2 1 1
3.125	46	0 1 1
3.042	42	1 1 -2
3.185	41	1 1 0
2.039	38	1 0 -3

abc: 6.1233 6.3248 6.8629
angles: 117.00 97.86 107.21
Space group P-1 (No. 2)
Symmetry-distinct sites (fractional):
K1 0.0000 0.0000 0.0000 (multiplicity 1)
Pm1 0.0196 0.3390 0.6819 (multiplicity 2)
Au1 0.4545 0.0414 0.8220 (multiplicity 2)
O1 0.1436 0.7214 0.6771 (multiplicity 2)
O2 0.2232 0.6766 0.0820 (multiplicity 2)
O3 0.2623 0.1155 0.5998 (multiplicity 2)